[1]
Simulated powder XRD pattern
Compound: Na2In5Sn4
Radiation: Cu Kα
Structure: a DFT-relaxed cell (PBE, Alexandria)
Peak positions follow from Bragg's law for the DFT cell and can differ from measured ones.

Top 10 peaks for 2θ from 10° to 90°, in order of rising 2θ:
d = 3.061 Å, 29.2°, rel. 54; d = 3.025 Å, 29.5°, rel. 46; d = 2.950 Å, 30.3°, rel. 44; d = 2.891 Å, 30.9°, rel. 89; d = 2.773 Å, 32.3°, rel. 75; d = 2.575 Å, 34.8°, rel. 76; d = 2.537 Å, 35.4°, rel. 63; d = 2.400 Å, 37.5°, rel. 100; d = 2.386 Å, 37.7°, rel. 56; d = 2.305 Å, 39.1°, rel. 53

Structure:
```
Na2In5Sn4
1.0
6.516 0.000 0.000
-2.187 6.195 0.000
-2.219 -0.951 7.839
Na In Sn
2 5 4
Direct
0.019 0.251 0.167
0.981 0.749 0.833
0.276 0.102 0.569
0.313 0.587 0.547
0.500 0.500 0.000
0.687 0.413 0.453
0.724 0.898 0.431
0.019 0.740 0.251
0.431 0.052 0.151
0.569 0.948 0.849
0.981 0.260 0.749
```

[2]
Simulated powder XRD pattern
Compound: Pr2BiH
Radiation: Cu Kα
Structure: a DFT-relaxed cell (PBE, Alexandria)
Peak positions follow from Bragg's law for the DFT cell and can differ from measured ones.

Top 10 peaks for 2θ from 10° to 90°, in order of rising 2θ:
d = 2.910 Å, 30.7°, rel. 100; d = 2.761 Å, 32.4°, rel. 19; d = 2.737 Å, 32.7°, rel. 22; d = 2.194 Å, 41.1°, rel. 12; d = 1.943 Å, 46.7°, rel. 14; d = 1.718 Å, 53.3°, rel. 10; d = 1.712 Å, 53.5°, rel. 11; d = 1.621 Å, 56.8°, rel. 13; d = 1.611 Å, 57.2°, rel. 18; d = 1.369 Å, 68.6°, rel. 8

Structure:
```
Pr2BiH
1.0
8.571 0.000 0.000
0.000 5.473 0.000
-2.260 0.000 8.481
Pr Bi H
8 4 4
Direct
0.004 0.248 0.126
0.004 0.252 0.626
0.359 0.244 0.465
0.359 0.256 0.965
0.641 0.744 0.035
0.641 0.756 0.535
0.996 0.748 0.374
0.996 0.752 0.874
0.310 0.747 0.703
0.310 0.753 0.203
0.690 0.247 0.797
0.690 0.253 0.297
0.090 0.152 0.398
0.090 0.348 0.898
0.910 0.652 0.102
0.910 0.848 0.602
```

[3]
Simulated powder XRD pattern
Compound: LaPr5Cd3
Radiation: Cu Kα
Structure: a DFT-relaxed cell (PBE, Alexandria)
Peak positions follow from Bragg's law for the DFT cell and can differ from measured ones.

Top 10 peaks for 2θ from 10° to 90°, in order of rising 2θ:
d = 2.872 Å, 31.1°, rel. 100; d = 2.763 Å, 32.4°, rel. 98; d = 1.991 Å, 45.6°, rel. 35; d = 1.615 Å, 57.0°, rel. 35; d = 1.595 Å, 57.8°, rel. 18; d = 1.505 Å, 61.6°, rel. 30; d = 1.381 Å, 67.8°, rel. 11; d = 1.245 Å, 76.5°, rel. 15; d = 1.192 Å, 80.6°, rel. 14; d = 1.095 Å, 89.5°, rel. 11

Structure:
```
LaPr5Cd3
1.0
9.571 0.000 0.000
-4.785 8.289 0.000
0.000 0.000 7.179
La Pr Cd
2 10 6
Direct
0.000 0.000 0.000
0.000 0.000 0.500
0.000 0.333 0.250
0.000 0.667 0.750
0.333 0.000 0.250
0.333 0.333 0.750
0.333 0.667 0.000
0.333 0.667 0.500
0.667 0.000 0.750
0.667 0.333 0.000
0.667 0.333 0.500
0.667 0.667 0.250
0.000 0.336 0.750
0.000 0.664 0.250
0.336 0.000 0.750
0.336 0.336 0.250
0.664 0.000 0.250
0.664 0.664 0.750
```

[4]
Simulated powder XRD pattern
Compound: Tl4PbSe3
Radiation: Cu Kα
Structure: a DFT-relaxed cell (PBE, Alexandria)
Peak positions follow from Bragg's law for the DFT cell and can differ from measured ones.

Top 10 peaks for 2θ from 10° to 90°, in order of rising 2θ:
d = 3.672 Å, 24.2°, rel. 18; d = 2.862 Å, 31.3°, rel. 100; d = 2.850 Å, 31.4°, rel. 19; d = 2.708 Å, 33.1°, rel. 55; d = 2.579 Å, 34.8°, rel. 10; d = 2.153 Å, 42.0°, rel. 11; d = 1.871 Å, 48.7°, rel. 12; d = 1.784 Å, 51.2°, rel. 12; d = 1.685 Å, 54.4°, rel. 16; d = 1.492 Å, 62.2°, rel. 22

Structure:
```
Tl4PbSe3
1.0
-4.281 4.281 6.460
4.281 -4.281 6.460
4.281 4.281 -6.460
Tl Pb Se
8 2 6
Direct
0.007 0.507 0.203
0.196 0.993 0.500
0.304 0.804 0.797
0.493 0.696 0.500
0.507 0.304 0.500
0.696 0.196 0.203
0.804 0.007 0.500
0.993 0.493 0.797
0.000 0.000 0.000
0.500 0.500 0.000
0.165 0.335 0.500
0.250 0.250 0.000
0.335 0.835 0.169
0.665 0.165 0.831
0.750 0.750 0.000
0.835 0.665 0.500
```